For Mg16Al13, a DFT-relaxed cell (GGA-PBE, Alexandria) gives the simulated X-ray diffraction stick pattern in this record (Cu Kα (weighted mean of Kα1 and Kα2)).

The 6 most intense peaks (2θ = 15–90°), sorted by position:
2θ = 34.12°, d 2.628, rel. 8, (4 0 0); 2θ = 36.26°, d 2.478, rel. 100, (4 1 1); 2θ = 40.24°, d 2.241, rel. 30, (3 3 2); 2θ = 42.11°, d 2.146, rel. 11, (4 2 2); 2θ = 43.92°, d 2.062, rel. 18, (4 3 1); 2θ = 65.22°, d 1.431, rel. 26, (7 2 1)

Atomic structure:
```
data_Mg16Al13
_chemical_formula_sum 'Mg32 Al26'
_cell_length_a 10.5122
_cell_length_b 10.5122
_cell_length_c 10.5122
_cell_angle_alpha 90.00
_cell_angle_beta 90.00
_cell_angle_gamma 90.00
_symmetry_space_group_name_H-M 'I -4 3 m'
_symmetry_Int_Tables_number 217
_symmetry_space_group_name_Hall 'I -4 2 3'
loop_
_atom_site_label
_atom_site_fract_x
_atom_site_fract_y
_atom_site_fract_z
_atom_site_occupancy
Mg1 0.0432 0.3576 0.3576 1
Mg2 0.1682 0.1682 0.8318 1
Al1 0.0000 0.0000 0.0000 1
Al2 0.0911 0.0911 0.2767 1
```



For Mg13Al14, a DFT-relaxed cell (GGA-PBE, Alexandria) gives the simulated X-ray diffraction stick pattern in this record (Cu Kα (weighted mean of Kα1 and Kα2)).

The 6 most intense peaks (2θ = 15–90°), sorted by position:
2θ = 37.47°, d 2.400, rel. 100, (3 3 0); 2θ = 48.99°, d 1.859, rel. 2, (5 2 1); 2θ = 54.03°, d 1.697, rel. 16, (6 0 0); 2θ = 67.60°, d 1.386, rel. 30, (6 3 3); 2θ = 75.91°, d 1.254, rel. 4, (7 4 1); 2θ = 79.94°, d 1.200, rel. 9, (6 6 0)

Atomic structure:
```
data_Mg13Al14
_chemical_formula_sum 'Mg26 Al28'
_cell_length_a 10.1835
_cell_length_b 10.1835
_cell_length_c 10.1835
_cell_angle_alpha 90.00
_cell_angle_beta 90.00
_cell_angle_gamma 90.00
_symmetry_space_group_name_H-M 'I m -3 m'
_symmetry_Int_Tables_number 229
_symmetry_space_group_name_Hall '-I 4 2 3'
loop_
_atom_site_label
_atom_site_fract_x
_atom_site_fract_y
_atom_site_fract_z
_atom_site_occupancy
Mg1 0.0000 0.0000 0.0000 1
Mg2 0.0000 0.3428 0.3428 1
Al1 0.0000 0.0000 0.3034 1
Al2 0.1722 0.1722 0.1722 1
```



For Mg2Al3, a DFT-relaxed cell (GGA-PBE, Alexandria) gives the simulated X-ray diffraction stick pattern in this record (Cu Kα (weighted mean of Kα1 and Kα2)).

The 6 most intense peaks (2θ = 15–90°), sorted by position:
2θ = 36.03°, d 2.493, rel. 33, (0 0 15); 2θ = 37.08°, d 2.425, rel. 100, (0 1 5); 2θ = 42.77°, d 2.114, rel. 64, (1 0 10); 2θ = 61.38°, d 1.510, rel. 19, (0 1 20); 2θ = 62.79°, d 1.480, rel. 21, (1 1 0); 2θ = 74.58°, d 1.272, rel. 22, (1 1 15)

Atomic structure:
```
data_Mg2Al3
_chemical_formula_sum 'Mg6 Al9'
_cell_length_a 2.9596
_cell_length_b 2.9596
_cell_length_c 37.3914
_cell_angle_alpha 90.00
_cell_angle_beta 90.00
_cell_angle_gamma 120.00
_symmetry_space_group_name_H-M 'R -3 m'
_symmetry_Int_Tables_number 166
_symmetry_space_group_name_Hall '-R 3 2"'
loop_
_atom_site_label
_atom_site_fract_x
_atom_site_fract_y
_atom_site_fract_z
_atom_site_occupancy
Mg1 0.0000 0.0000 0.2035 1
Al1 0.0000 0.0000 0.0000 1
Al2 0.0000 0.0000 0.3960 1
```



For Mg16Al13, a DFT-relaxed cell (GGA-PBE, Alexandria) gives the simulated X-ray diffraction stick pattern in this record (Cu Kα (weighted mean of Kα1 and Kα2)).

The 6 most intense peaks (2θ = 15–90°), sorted by position:
2θ = 34.12°, d 2.628, rel. 12, (0 4 2); 2θ = 36.17°, d 2.483, rel. 47, (3 0 3); 2θ = 36.31°, d 2.474, rel. 100, (0 5 1); 2θ = 40.05°, d 2.251, rel. 11, (1 0 4); 2θ = 40.31°, d 2.238, rel. 34, (5 0 2); 2θ = 65.24°, d 1.430, rel. 19, (3 5 4)

Atomic structure:
```
data_Mg16Al13
_chemical_formula_sum 'Mg48 Al39'
_cell_length_a 14.8277
_cell_length_b 14.8277
_cell_length_c 9.1470
_cell_angle_alpha 90.00
_cell_angle_beta 90.00
_cell_angle_gamma 120.00
_symmetry_space_group_name_H-M 'R 3 m'
_symmetry_Int_Tables_number 160
_symmetry_space_group_name_Hall 'R 3 -2"'
loop_
_atom_site_label
_atom_site_fract_x
_atom_site_fract_y
_atom_site_fract_z
_atom_site_occupancy
Mg1 0.0000 0.0000 0.0000 1
Mg2 0.0125 0.3062 0.3025 1
Mg3 0.0681 0.5340 0.2157 1
Mg4 0.2009 0.1004 0.5047 1
Mg5 0.2178 0.4357 0.7789 1
Al1 0.0000 0.0000 0.6807 1
Al2 0.0623 0.1246 0.2960 1
Al3 0.0840 0.5420 0.7259 1
Al4 0.1504 0.4827 0.4808 1
```



Repeat the third record exactly.
For Mg2Al3, a DFT-relaxed cell (GGA-PBE, Alexandria) gives the simulated X-ray diffraction stick pattern in this record (Cu Kα (weighted mean of Kα1 and Kα2)).

The 6 most intense peaks (2θ = 15–90°), sorted by position:
2θ = 36.03°, d 2.493, rel. 33, (0 0 15); 2θ = 37.08°, d 2.425, rel. 100, (0 1 5); 2θ = 42.77°, d 2.114, rel. 64, (1 0 10); 2θ = 61.38°, d 1.510, rel. 19, (0 1 20); 2θ = 62.79°, d 1.480, rel. 21, (1 1 0); 2θ = 74.58°, d 1.272, rel. 22, (1 1 15)

Atomic structure:
```
data_Mg2Al3
_chemical_formula_sum 'Mg6 Al9'
_cell_length_a 2.9596
_cell_length_b 2.9596
_cell_length_c 37.3914
_cell_angle_alpha 90.00
_cell_angle_beta 90.00
_cell_angle_gamma 120.00
_symmetry_space_group_name_H-M 'R -3 m'
_symmetry_Int_Tables_number 166
_symmetry_space_group_name_Hall '-R 3 2"'
loop_
_atom_site_label
_atom_site_fract_x
_atom_site_fract_y
_atom_site_fract_z
_atom_site_occupancy
Mg1 0.0000 0.0000 0.2035 1
Al1 0.0000 0.0000 0.0000 1
Al2 0.0000 0.0000 0.3960 1
```